No. 1
Diffraction record for Tb3Dy2Y3. The powder diffractogram is computed, not measured: it uses a cell relaxed with GGA-PBE and CuKα.
Lines closer than 0.1° are merged.

The 10 most intense peaks (2θ = 10–90°), by angle:
d_spacing, 2θ/deg, intensity
4.777, 18.6, 13.1
3.190, 28.0, 21.2
2.985, 29.9, 15.5
2.758, 32.5, 90.0
2.737, 32.7, 100.0
2.653, 33.8, 17.9
1.943, 46.8, 29.9
1.592, 57.9, 12.0
1.588, 58.1, 31.0
1.429, 65.3, 16.3

Structure:
abc: 9.5536 9.5536 10.0207
angles: 90.00 90.00 120.00
Space group R32 (No. 155, hexagonal axes)
Symmetry-distinct sites (fractional):
Tb  0.0000  0.6874  0.0000 (multiplicity 9)
Dy  0.0000  0.0000  0.1949 (multiplicity 6)
Y  0.0000  0.2836  0.5000 (multiplicity 9)

No. 2
Diffraction record for Tb2Dy7Y. The powder diffractogram is computed, not measured: it uses a cell relaxed with GGA-PBE and CuKα.
Lines closer than 0.1° are merged.

The 10 most intense peaks (2θ = 10–90°), by angle:
d_spacing, 2θ/deg, intensity
2.897, 30.9, 100.0
2.509, 35.8, 50.5
1.775, 51.5, 30.0
1.772, 51.6, 6.0
1.514, 61.2, 32.0
1.511, 61.3, 10.6
1.449, 64.3, 6.2
1.448, 64.3, 6.1
1.152, 84.0, 10.3
1.123, 86.7, 9.7

Structure:
abc: 6.1390 6.1488 9.3890
angles: 102.58 108.99 99.69
Space group P-1 (No. 2)
Symmetry-distinct sites (fractional):
Tb  0.0999  0.4991  0.1997 (multiplicity 2)
Dy  0.1001  0.0004  0.7004 (multiplicity 2)
Dy  0.2990  0.5001  0.6001 (multiplicity 2)
Dy  0.3000  0.0002  0.0994 (multiplicity 2)
Dy  0.5000  0.5000  0.0000 (multiplicity 1)
Y  0.5000  0.0000  0.5000 (multiplicity 1)

No. 3
Diffraction record for Tb6DyY3. The powder diffractogram is computed, not measured: it uses a cell relaxed with GGA-PBE and CuKα.
Lines closer than 0.1° are merged.

The 10 most intense peaks (2θ = 10–90°), by angle:
d_spacing, 2θ/deg, intensity
3.174, 28.1, 36.6
2.988, 29.9, 98.5
2.913, 30.7, 67.5
2.830, 31.6, 77.9
2.793, 32.0, 13.6
2.780, 32.2, 100.0
2.536, 35.4, 18.4
2.468, 36.4, 18.6
2.358, 38.2, 15.7
1.808, 50.5, 14.5

Structure:
abc: 9.4315 15.4093 8.9353
angles: 90.00 90.00 90.00
Space group Cmc2_1 (No. 36)
Symmetry-distinct sites (fractional):
Tb  0.0000  0.0529  0.0000 (multiplicity 4)
Tb  0.0000  0.2808  0.1176 (multiplicity 4)
Tb  0.1752  0.3536  0.5129 (multiplicity 8)
Tb  0.2462  0.0600  0.6861 (multiplicity 8)
Dy  0.0000  0.2213  0.7516 (multiplicity 4)
Y  0.0000  0.4498  0.8707 (multiplicity 4)
Y  0.1756  0.1482  0.3585 (multiplicity 8)

No. 4
Diffraction record for Tb2Dy2Y5. The powder diffractogram is computed, not measured: it uses a cell relaxed with GGA-PBE and CuKα.
Lines closer than 0.1° are merged.

The 10 most intense peaks (2θ = 10–90°), by angle:
d_spacing, 2θ/deg, intensity
3.148, 28.3, 100.0
2.944, 30.4, 60.1
2.915, 30.7, 60.5
2.888, 31.0, 18.9
2.737, 32.7, 59.5
2.502, 35.9, 51.2
2.365, 38.0, 16.8
1.915, 47.5, 12.4
1.898, 47.9, 29.2
1.574, 58.6, 15.0

Structure:
abc: 14.9032 11.6591 6.8225
angles: 90.00 90.00 90.00
Space group Ima2 (No. 46)
Symmetry-distinct sites (fractional):
Tb  0.1283  0.0091  0.0000 (multiplicity 8)
Dy  0.0000  0.0000  0.4336 (multiplicity 4)
Dy  0.2500  0.5157  0.0590 (multiplicity 4)
Y  0.0531  0.2368  0.6507 (multiplicity 8)
Y  0.1430  0.7398  0.8290 (multiplicity 8)
Y  0.2500  0.2367  0.3419 (multiplicity 4)

No. 5
Diffraction record for Tb3Dy2Y8. The powder diffractogram is computed, not measured: it uses a cell relaxed with GGA-PBE and CuKα.
Lines closer than 0.1° are merged.

The 10 most intense peaks (2θ = 10–90°), by angle:
d_spacing, 2θ/deg, intensity
3.575, 24.9, 25.4
3.021, 29.6, 31.1
2.894, 30.9, 30.8
2.823, 31.7, 39.3
2.683, 33.4, 100.0
2.528, 35.5, 22.5
2.216, 40.7, 13.8
1.883, 48.3, 18.8
1.602, 57.5, 20.7
1.582, 58.3, 10.5

Structure:
abc: 20.2268 7.6437 5.6462
angles: 90.00 90.03 90.00
Space group C2/m (No. 12)
Symmetry-distinct sites (fractional):
Tb  0.0000  0.0000  0.0000 (multiplicity 2)
Tb  0.0000  0.2852  0.5000 (multiplicity 4)
Dy  0.2415  0.0000  0.9993 (multiplicity 4)
Y  0.1076  0.2888  0.0001 (multiplicity 8)
Y  0.1336  0.0000  0.4997 (multiplicity 4)
Y  0.1700  0.5000  0.5005 (multiplicity 4)

No. 6
Diffraction record for Tb2Dy4Y3. The powder diffractogram is computed, not measured: it uses a cell relaxed with GGA-PBE and CuKα.
Lines closer than 0.1° are merged.

The 10 most intense peaks (2θ = 10–90°), by angle:
d_spacing, 2θ/deg, intensity
3.135, 28.5, 22.5
2.957, 30.2, 58.7
2.897, 30.9, 48.5
2.883, 31.0, 63.9
2.811, 31.8, 100.0
2.398, 37.5, 41.4
2.358, 38.2, 21.9
1.829, 49.9, 17.1
1.820, 50.1, 14.8
1.638, 56.1, 21.4

Structure:
abc: 16.1893 11.5883 6.1414
angles: 90.00 95.83 90.00
Space group C2/c (No. 15)
Symmetry-distinct sites (fractional):
Tb  0.1205  0.1422  0.3196 (multiplicity 8)
Dy  0.0465  0.3584  0.0144 (multiplicity 8)
Dy  0.2136  0.1413  0.8479 (multiplicity 8)
Y  0.0000  0.0977  0.7500 (multiplicity 4)
Y  0.1664  0.4022  0.5852 (multiplicity 8)

No. 7
Diffraction record for TbDy3Zn. The powder diffractogram is computed, not measured: it uses a cell relaxed with GGA-PBE and CuKα.
Lines closer than 0.1° are merged.

The 10 most intense peaks (2θ = 10–90°), by angle:
d_spacing, 2θ/deg, intensity
3.075, 29.0, 21.7
2.995, 29.8, 23.8
2.898, 30.9, 24.8
2.688, 33.3, 63.8
2.673, 33.5, 100.0
2.665, 33.6, 93.4
1.899, 47.9, 23.8
1.551, 59.6, 26.2
1.546, 59.8, 35.7
1.503, 61.7, 21.6

Structure:
abc: 28.9786 3.6271 5.3769
angles: 90.00 90.37 90.00
Space group C2/m (No. 12)
Symmetry-distinct sites (fractional):
Tb  0.2318  0.0000  0.2492 (multiplicity 4)
Dy  0.0450  0.5000  0.7375 (multiplicity 4)
Dy  0.1232  0.5000  0.2446 (multiplicity 4)
Dy  0.1580  0.0000  0.7470 (multiplicity 4)
Zn  0.0395  0.0000  0.2258 (multiplicity 4)

No. 8
Diffraction record for Tb6Dy2Zn. The powder diffractogram is computed, not measured: it uses a cell relaxed with GGA-PBE and CuKα.
Lines closer than 0.1° are merged.

The 10 most intense peaks (2θ = 10–90°), by angle:
d_spacing, 2θ/deg, intensity
2.855, 31.3, 57.4
2.820, 31.7, 100.0
2.793, 32.0, 34.7
2.744, 32.6, 74.6
2.717, 33.0, 32.5
2.677, 33.5, 63.6
2.366, 38.0, 25.4
1.933, 47.0, 24.0
1.773, 51.5, 24.9
1.572, 58.7, 17.3

Structure:
abc: 9.9528 10.1248 5.3545
angles: 90.00 90.00 90.00
Space group Pnnm (No. 58)
Symmetry-distinct sites (fractional):
Tb  0.0306  0.1868  0.0000 (multiplicity 4)
Tb  0.1278  0.6147  0.5000 (multiplicity 4)
Tb  0.1863  0.9449  0.5000 (multiplicity 4)
Dy  0.2049  0.2710  0.5000 (multiplicity 4)
Zn  0.0000  0.5000  0.0000 (multiplicity 2)

Q: What is the formula in the sixth record?
A: Tb2Dy4Y3